No. 1
Computed XRD peak list
Compound: CrB2F8
Radiation: λ = 1.5418 Å (Cu Kα)
Structure: a cell relaxed with GGA+U

Atomic structure:
Unit cell a=9.8385 b=6.6538 c=9.4519 alpha=90.00 beta=113.53 gamma=90.00
Space group C2/c (No. 15)
Inequivalent atoms, fractional coordinates:
Cr: 0.0000 0.2370 0.2500
B: 0.1940 0.0214 0.5667
F: 0.1362 0.1838 0.6128
F: 0.1430 0.0249 0.3989
F: 0.1443 0.4635 0.3713
F: 0.1557 0.1628 0.1108

Principal peaks in the range 2θ from 5° to 70°, in order of rising 2θ:
| Position (°2θ) | I/Imax | hkl |
| --- | --- | --- |
| 16.6 | 30 | 1 1 0 |
| 17.3 | 100 | 1 1 -1 |
| 21.5 | 28 | 1 1 1 |
| 23.1 | 34 | 1 1 -2 |
| 34.0 | 28 | 2 0 2 |
| 43.8 | 39 | 2 2 2 |

---

No. 2
Computed XRD peak list
Compound: CrBF6
Radiation: λ = 1.5418 Å (Cu Kα)
Structure: a cell relaxed with GGA+U

Atomic structure:
Unit cell a=4.7151 b=4.7151 c=12.3566 alpha=90.00 beta=90.00 gamma=120.00
Space group R-3 (No. 148, hexagonal axes)
Inequivalent atoms, fractional coordinates:
Cr: 0.0000 0.0000 0.0000
B: 0.0000 0.0000 0.5000
F: 0.0334 0.7356 0.5757

Principal peaks in the range 2θ from 5° to 70°, in order of rising 2θ:
| Position (°2θ) | I/Imax | hkl |
| --- | --- | --- |
| 22.9 | 15 | 1 0 1 |
| 26.2 | 100 | 0 1 2 |
| 44.3 | 61 | 2 -1 3 |
| 53.8 | 16 | 0 2 4 |
| 59.6 | 26 | 1 1 6 |
| 60.4 | 12 | 3 -1 1 |

---

No. 3
Computed XRD peak list
Compound: CrHgBF6
Radiation: λ = 1.5418 Å (Cu Kα)
Structure: a cell relaxed with GGA+U

Atomic structure:
Unit cell a=4.8104 b=8.3317 c=8.4922 alpha=90.00 beta=90.20 gamma=90.00
Space group C2 (No. 5)
Inequivalent atoms, fractional coordinates:
Cr: 0.0000 0.0000 0.0000
Hg: 0.0000 0.6673 0.5000
B: 0.0000 0.3333 0.0000
F: 0.1296 0.1910 0.8889
F: 0.1476 0.4697 0.8889
F: 0.2207 0.8394 0.8889

Principal peaks in the range 2θ from 5° to 70°, in order of rising 2θ:
| Position (°2θ) | I/Imax | hkl |
| --- | --- | --- |
| 20.9 | 31 | 0 0 2 |
| 21.3 | 24 | 1 1 0 |
| 23.8 | 100 | 0 2 1 |
| 30.1 | 27 | 1 1 2 |
| 38.4 | 17 | 0 2 3 |
| 38.9 | 16 | 1 3 1 |

---

No. 4
Computed XRD peak list
Compound: TlCrBF6
Radiation: λ = 1.5418 Å (Cu Kα)
Structure: a cell relaxed with GGA+U

Atomic structure:
Unit cell a=4.5965 b=5.8846 c=6.8578 alpha=101.51 beta=93.29 gamma=108.37
Space group P1 (No. 1)
Inequivalent atoms, fractional coordinates:
Tl: 0.0000 0.0000 0.0000
Cr: 0.2490 0.7977 0.5143
B: 0.5423 0.3428 0.4732
F: 0.0086 0.7617 0.2613
F: 0.3516 0.1889 0.5896
F: 0.3600 0.4697 0.3947
F: 0.4382 0.8382 0.7866
F: 0.6212 0.1923 0.3167
F: 0.8043 0.5127 0.5998

Principal peaks in the range 2θ from 5° to 70°, in order of rising 2θ:
| Position (°2θ) | I/Imax | hkl |
| --- | --- | --- |
| 16.3 | 98 | 0 1 0 |
| 18.5 | 96 | 0 1 -1 |
| 23.0 | 55 | 1 0 -1 |
| 24.8 | 47 | 1 -1 1 |
| 26.0 | 100 | -1 1 1 |
| 32.6 | 43 | 0 2 -1 |